Record 1
# Sn2SbO6
Calculated powder XRD pattern, λ = 1.5418 Å (Cu Kα). Input: a cell relaxed with GGA-PBE.
No peak broadening, texture or thermal motion is included.

Top 6 peaks for 2θ = 10–90°, by angle:
2θ/deg, d [Å], I_rel, h k l
25.80, 3.453, 100, 1 1 0
32.80, 2.730, 82, 1 0 3
36.81, 2.442, 23, 2 0 0
50.12, 1.820, 70, 2 1 3
62.50, 1.486, 17, 1 1 6
63.79, 1.459, 21, 3 0 3

Cell and atoms:
```
data_Sn2SbO6
_chemical_formula_sum 'Sn4 Sb2 O12'
_space_group_name_H-M_alt 'P 42/m n m'
_space_group_IT_number 136
_space_group_name_Hall '-P 4n 2n'
_cell_length_a 4.8830
_cell_length_b 4.8830
_cell_length_c 9.8785
_cell_angle_alpha 90.00
_cell_angle_beta 90.00
_cell_angle_gamma 90.00
loop_
_atom_site_label
_atom_site_fract_x
_atom_site_fract_y
_atom_site_fract_z
Sn1 0.0000 0.0000 0.1665
Sb1 0.0000 0.0000 0.5000
O1 0.1926 0.1926 0.3334
O2 0.1941 0.1941 0.0000
```

Record 2
# Zn2Ga2Au5
Calculated powder XRD pattern, λ = 1.5418 Å (Cu Kα). Input: a cell relaxed with GGA-PBE.
No peak broadening, texture or thermal motion is included.

Top 6 peaks for 2θ = 10–90°, by angle:
2θ/deg, d [Å], I_rel, h k l
29.85, 2.994, 77, 0 0 2
31.33, 2.855, 93, 5 1 0
39.40, 2.287, 49, 0 2 2
41.07, 2.198, 77, 0 3 1
41.41, 2.181, 76, 5 2 1
43.82, 2.066, 100, 5 1 2

Cell and atoms:
```
data_Zn2Ga2Au5
_chemical_formula_sum 'Zn8 Ga8 Au20'
_space_group_name_H-M_alt 'I m a 2'
_space_group_IT_number 46
_space_group_name_Hall 'I 2 -2a'
_cell_length_a 15.5962
_cell_length_b 7.0876
_cell_length_c 5.9872
_cell_angle_alpha 90.00
_cell_angle_beta 90.00
_cell_angle_gamma 90.00
loop_
_atom_site_label
_atom_site_fract_x
_atom_site_fract_y
_atom_site_fract_z
Zn1 0.1498 0.0458 0.0000
Ga1 0.0000 0.0000 0.7268
Ga2 0.2500 0.5788 0.1368
Au1 0.0558 0.1680 0.3485
Au2 0.1310 0.7070 0.8318
Au3 0.2500 0.1846 0.3270
```

Record 3
# La4PtPb
Calculated powder XRD pattern, λ = 1.5418 Å (Cu Kα). Input: a cell relaxed with GGA-PBE.
No peak broadening, texture or thermal motion is included.

Top 6 peaks for 2θ = 10–90°, by angle:
2θ/deg, d [Å], I_rel, h k l
29.76, 3.002, 60, 1 2 -1
30.87, 2.896, 54, 1 2 1
31.54, 2.836, 41, 2 1 -1
32.38, 2.765, 100, 0 2 2
32.87, 2.725, 75, 1 0 -3
33.63, 2.665, 40, 2 1 1

Cell and atoms:
```
data_La4PtPb
_chemical_formula_sum 'La8 Pt2 Pb2'
_space_group_name_H-M_alt 'P 1 21/m 1'
_space_group_IT_number 11
_space_group_name_Hall '-P 2yb'
_cell_length_a 6.3696
_cell_length_b 7.2281
_cell_length_c 8.6391
_cell_angle_alpha 90.00
_cell_angle_beta 96.45
_cell_angle_gamma 90.00
loop_
_atom_site_label
_atom_site_fract_x
_atom_site_fract_y
_atom_site_fract_z
La1 0.1175 0.2500 0.0598
La2 0.1621 0.7500 0.3697
La3 0.3805 0.5084 0.7738
Pt1 0.3292 0.7500 0.0547
Pb1 0.2709 0.2500 0.4384
```

Record 4
# Sr3Ag2Pt
Calculated powder XRD pattern, λ = 1.5418 Å (Cu Kα). Input: a cell relaxed with GGA-PBE.
No peak broadening, texture or thermal motion is included.

Top 6 peaks for 2θ = 10–90°, by angle:
2θ/deg, d [Å], I_rel, h k l
32.87, 2.725, 100, 1 3 2
33.14, 2.703, 25, 2 0 0
33.25, 2.695, 24, 0 6 0
47.65, 1.908, 17, 2 6 0
58.49, 1.578, 18, 2 0 4
59.03, 1.565, 18, 3 3 2

Cell and atoms:
```
data_Sr3Ag2Pt
_chemical_formula_sum 'Sr12 Ag8 Pt4'
_space_group_name_H-M_alt 'C m m m'
_space_group_IT_number 65
_space_group_name_Hall '-C 2 2'
_cell_length_a 5.4070
_cell_length_b 16.1673
_cell_length_c 7.7804
_cell_angle_alpha 90.00
_cell_angle_beta 90.00
_cell_angle_gamma 90.00
loop_
_atom_site_label
_atom_site_fract_x
_atom_site_fract_y
_atom_site_fract_z
Sr1 0.0000 0.0000 0.2398
Sr2 0.0000 0.3280 0.2320
Ag1 0.0000 0.1657 0.5000
Ag2 0.0000 0.5000 0.0000
Ag3 0.0000 0.5000 0.5000
Pt1 0.0000 0.1598 0.0000
```